(1)
# BaCrSi2C
Theoretical powder X-ray diffraction pattern, Cu Kα. Input: DFT lattice parameters and positions (PBE).
Intensities are scaled so that the largest is 100.

Cell and atoms:
```
BaCrSi2C
1.0
4.0403 0.0000 0.0000
0.0000 4.0403 0.0000
0.0000 0.0000 5.3317
Ba Cr Si C
1 1 2 1
Direct
0.0000 0.0000 0.0000
0.5000 0.5000 0.0000
0.0000 0.5000 0.5000
0.5000 0.0000 0.5000
0.0000 0.0000 0.5000
```

Peak list (8 most intense, 2θ from 10° to 90°, sorted by position)
hkl 0 0 1, 16.63 deg, d = 5.332 Å, I = 38
hkl 1 0 0, 22.00 deg, d = 4.040 Å, I = 25
hkl 1 1 0, 31.31 deg, d = 2.857 Å, I = 26
hkl 0 0 2, 33.62 deg, d = 2.666 Å, I = 35
hkl 1 1 1, 35.65 deg, d = 2.518 Å, I = 100
hkl 2 0 0, 44.87 deg, d = 2.020 Å, I = 30
hkl 2 0 2, 57.22 deg, d = 1.610 Å, I = 28
hkl 3 1 1, 76.70 deg, d = 1.242 Å, I = 21

(2)
# Cs3Ba4C3O9F5
Theoretical powder X-ray diffraction pattern, Cu Kα. Input: DFT lattice parameters and positions (PBE).
Intensities are scaled so that the largest is 100.

Cell and atoms:
```
Cs3Ba4C3O9F5
1.0
11.7163 0.0000 0.0000
-5.8582 10.1467 0.0000
0.0000 0.0000 7.7176
Cs Ba C O F
6 8 6 18 10
Direct
0.1203 0.2407 0.0000
0.1203 0.8797 0.0000
0.2407 0.1203 0.5000
0.7593 0.8797 0.0000
0.8797 0.1203 0.5000
0.8797 0.7593 0.5000
0.0749 0.5375 0.6623
0.3333 0.6667 0.2067
0.4625 0.5375 0.6623
0.4625 0.9251 0.6623
0.5375 0.0749 0.1623
0.5375 0.4625 0.1623
0.6667 0.3333 0.7067
0.9251 0.4625 0.1623
0.1990 0.3981 0.4319
0.1990 0.8010 0.4319
0.3981 0.1990 0.9319
0.6019 0.8010 0.4319
0.8010 0.1990 0.9319
0.8010 0.6019 0.9319
0.1120 0.4169 0.3510
0.1120 0.6951 0.3510
0.1825 0.3650 0.5953
0.1825 0.8175 0.5953
0.3049 0.4169 0.3510
0.3049 0.8880 0.3510
0.3650 0.1825 0.0953
0.4169 0.1120 0.8510
0.4169 0.3049 0.8510
0.5831 0.6951 0.3510
0.5831 0.8880 0.3510
0.6350 0.8175 0.5953
0.6951 0.1120 0.8510
0.6951 0.5831 0.8510
0.8175 0.1825 0.0953
0.8175 0.6350 0.0953
0.8880 0.3049 0.8510
0.8880 0.5831 0.8510
0.0000 0.0000 0.2583
0.0000 0.0000 0.7583
0.1427 0.5713 0.9835
0.3333 0.6667 0.5680
0.4287 0.5713 0.9835
0.4287 0.8573 0.9835
0.5713 0.1427 0.4835
0.5713 0.4287 0.4835
0.6667 0.3333 0.0680
0.8573 0.4287 0.4835
```

Peak list (8 most intense, 2θ from 10° to 90°, sorted by position)
hkl 2 1 0, 23.19 deg, d = 3.835 Å, I = 25
hkl 1 0 2, 24.68 deg, d = 3.607 Å, I = 37
hkl 2 1 1, 25.94 deg, d = 3.434 Å, I = 100
hkl 3 0 1, 28.82 deg, d = 3.098 Å, I = 41
hkl 2 0 2, 29.07 deg, d = 3.071 Å, I = 26
hkl 3 0 3, 44.23 deg, d = 2.048 Å, I = 36
hkl 3 2 2, 45.51 deg, d = 1.993 Å, I = 26
hkl 5 0 1, 46.26 deg, d = 1.963 Å, I = 27